1.
Starting from a GGA-PBE-relaxed structure, the powder diffraction line list of CaPuPd3 was computed for Cu Kα (λ = 1.5418 Å).
Peak positions follow from Bragg's law for the DFT cell and can differ from measured ones.

Top 10 peaks for 2θ = 10–90°, in order of rising 2θ:
| two_theta | intensity |
| --- | --- |
| 18.1 | 34 |
| 22.4 | 21 |
| 30.6 | 17 |
| 32.9 | 100 |
| 36.6 | 22 |
| 37.0 | 19 |
| 38.3 | 68 |
| 41.1 | 25 |
| 42.9 | 31 |
| 63.6 | 16 |

Structural model:
abc: 9.3631 5.8285 8.1311
angles: 90.00 102.50 90.00
Atoms (fractional coordinates):
Ca: 0.1122 0.1435 0.1881
Ca: 0.1122 0.3565 0.6881
Ca: 0.8878 0.6435 0.3119
Ca: 0.8878 0.8565 0.8119
Pu: 0.3264 0.7077 0.4318
Pu: 0.3264 0.7923 0.9318
Pu: 0.6736 0.2077 0.0682
Pu: 0.6736 0.2923 0.5682
Pd: 0.1177 0.6246 0.0889
Pd: 0.1177 0.8754 0.5889
Pd: 0.3503 0.2179 0.4753
Pd: 0.3503 0.2821 0.9753
Pd: 0.4876 0.5036 0.7439
Pd: 0.4876 0.9964 0.2439
Pd: 0.5124 0.0036 0.7561
Pd: 0.5124 0.4964 0.2561
Pd: 0.6497 0.7179 0.0247
Pd: 0.6497 0.7821 0.5247
Pd: 0.8823 0.1246 0.4111
Pd: 0.8823 0.3754 0.9111

2.
Starting from a GGA-PBE-relaxed structure, the powder diffraction line list of Ca6Pd5Rh was computed for Cu Kα (λ = 1.5418 Å).
Peak positions follow from Bragg's law for the DFT cell and can differ from measured ones.

Top 10 peaks for 2θ = 10–90°, in order of rising 2θ:
| two_theta | intensity |
| --- | --- |
| 25.0 | 25 |
| 26.1 | 11 |
| 35.7 | 53 |
| 36.5 | 100 |
| 44.7 | 11 |
| 51.3 | 9 |
| 51.5 | 9 |
| 64.6 | 26 |
| 64.7 | 9 |
| 66.1 | 16 |

Structural model:
abc: 5.0282 6.8378 7.9426
angles: 90.00 108.30 90.00
Atoms (fractional coordinates):
Ca: 0.0000 0.2466 0.0000
Ca: 0.0000 0.7534 0.0000
Ca: 0.3350 0.2481 0.6709
Ca: 0.3350 0.7519 0.6709
Ca: 0.6650 0.2481 0.3291
Ca: 0.6650 0.7519 0.3291
Pd: 0.1678 0.0000 0.3340
Pd: 0.1692 0.5000 0.3366
Pd: 0.5000 0.5000 0.0000
Pd: 0.8308 0.5000 0.6634
Pd: 0.8322 0.0000 0.6660
Rh: 0.5000 0.0000 0.0000

3.
Starting from a GGA-PBE-relaxed structure, the powder diffraction line list of CaSbPd3 was computed for Cu Kα (λ = 1.5418 Å).
Peak positions follow from Bragg's law for the DFT cell and can differ from measured ones.

Top 10 peaks for 2θ = 10–90°, in order of rising 2θ:
| two_theta | intensity |
| --- | --- |
| 18.7 | 70 |
| 19.6 | 36 |
| 29.2 | 47 |
| 35.1 | 86 |
| 35.5 | 60 |
| 37.9 | 74 |
| 39.7 | 49 |
| 40.7 | 91 |
| 44.4 | 100 |
| 45.3 | 46 |

Structural model:
abc: 6.6628 6.6628 6.6628
angles: 130.55 106.19 94.08
Atoms (fractional coordinates):
Ca: 0.2534 0.0034 0.2500
Ca: 0.7466 0.9966 0.7500
Sb: 0.0000 0.5000 0.5000
Sb: 0.5000 0.5000 0.0000
Pd: 0.0646 0.3146 0.7500
Pd: 0.3094 0.0000 0.8094
Pd: 0.3094 0.5000 0.3094
Pd: 0.6906 0.0000 0.1906
Pd: 0.6906 0.5000 0.6906
Pd: 0.9354 0.6854 0.2500

4.
Starting from a GGA-PBE-relaxed structure, the powder diffraction line list of Ca3Sb2Pd7 was computed for Cu Kα (λ = 1.5418 Å).
Peak positions follow from Bragg's law for the DFT cell and can differ from measured ones.

Top 10 peaks for 2θ = 10–90°, in order of rising 2θ:
| two_theta | intensity |
| --- | --- |
| 11.9 | 29 |
| 21.4 | 61 |
| 31.7 | 24 |
| 33.9 | 26 |
| 37.1 | 100 |
| 41.0 | 22 |
| 42.4 | 24 |
| 43.3 | 32 |
| 43.6 | 31 |
| 45.4 | 40 |

Structural model:
abc: 15.0690 15.0690 4.1552
angles: 90.00 90.00 164.05
Atoms (fractional coordinates):
Ca: 0.0000 0.0000 0.0000
Ca: 0.2065 0.7935 0.0000
Ca: 0.7935 0.2065 0.0000
Sb: 0.4143 0.5857 0.5000
Sb: 0.5857 0.4143 0.5000
Pd: 0.1395 0.8605 0.5000
Pd: 0.2875 0.7125 0.5000
Pd: 0.3607 0.6393 0.0000
Pd: 0.5000 0.5000 0.5000
Pd: 0.6393 0.3607 0.0000
Pd: 0.7125 0.2875 0.5000
Pd: 0.8605 0.1395 0.5000

5.
Starting from a GGA-PBE-relaxed structure, the powder diffraction line list of Ca2Sb4Pd3 was computed for Cu Kα (λ = 1.5418 Å).
Peak positions follow from Bragg's law for the DFT cell and can differ from measured ones.

Top 10 peaks for 2θ = 10–90°, in order of rising 2θ:
| two_theta | intensity |
| --- | --- |
| 16.9 | 40 |
| 19.8 | 25 |
| 30.6 | 20 |
| 32.8 | 100 |
| 35.3 | 16 |
| 39.9 | 73 |
| 44.7 | 53 |
| 57.8 | 24 |
| 68.0 | 23 |
| 75.8 | 22 |

Structural model:
abc: 21.2708 21.2708 21.2708
angles: 167.81 167.81 17.27
Atoms (fractional coordinates):
Ca: 0.0546 0.0546 0.0000
Ca: 0.1870 0.1870 0.0000
Ca: 0.8130 0.8130 0.0000
Ca: 0.9454 0.9454 0.0000
Sb: 0.1172 0.6172 0.5000
Sb: 0.2848 0.2848 0.0000
Sb: 0.3828 0.8828 0.5000
Sb: 0.4626 0.4626 0.0000
Sb: 0.5374 0.5374 0.0000
Sb: 0.6172 0.1172 0.5000
Sb: 0.7152 0.7152 0.0000
Sb: 0.8828 0.3828 0.5000
Pd: 0.0000 0.5000 0.5000
Pd: 0.2500 0.7500 0.5000
Pd: 0.3468 0.3468 0.0000
Pd: 0.5000 0.0000 0.5000
Pd: 0.6532 0.6532 0.0000
Pd: 0.7500 0.2500 0.5000

6.
Starting from a GGA-PBE-relaxed structure, the powder diffraction line list of Ca3Sb4Pd4 was computed for Cu Kα (λ = 1.5418 Å).
Peak positions follow from Bragg's law for the DFT cell and can differ from measured ones.

Top 10 peaks for 2θ = 10–90°, in order of rising 2θ:
| two_theta | intensity |
| --- | --- |
| 21.0 | 86 |
| 21.7 | 32 |
| 31.3 | 64 |
| 31.5 | 100 |
| 39.1 | 58 |
| 41.9 | 44 |
| 42.2 | 46 |
| 44.4 | 86 |
| 50.9 | 31 |
| 58.9 | 34 |

Structural model:
abc: 13.7874 13.7874 13.7874
angles: 162.13 160.78 26.36
Atoms (fractional coordinates):
Ca: 0.0000 0.0000 0.0000
Ca: 0.3494 0.8494 0.5000
Ca: 0.6506 0.1506 0.5000
Sb: 0.1934 0.6934 0.5000
Sb: 0.4465 0.4465 0.0000
Sb: 0.5535 0.5535 0.0000
Sb: 0.8066 0.3066 0.5000
Pd: 0.0965 0.5965 0.5000
Pd: 0.2534 0.2534 0.0000
Pd: 0.7466 0.7466 0.0000
Pd: 0.9035 0.4035 0.5000

7.
Starting from a GGA-PBE-relaxed structure, the powder diffraction line list of Ca2Sb4Pd9 was computed for Cu Kα (λ = 1.5418 Å).
Peak positions follow from Bragg's law for the DFT cell and can differ from measured ones.

Top 10 peaks for 2θ = 10–90°, in order of rising 2θ:
| two_theta | intensity |
| --- | --- |
| 10.8 | 22 |
| 21.7 | 16 |
| 25.1 | 15 |
| 35.7 | 47 |
| 39.7 | 100 |
| 40.2 | 47 |
| 45.1 | 18 |
| 57.8 | 16 |
| 72.0 | 17 |
| 72.4 | 16 |

Structural model:
abc: 4.5450 4.5450 16.3586
angles: 90.00 90.00 120.00
Atoms (fractional coordinates):
Ca: 0.3333 0.6667 0.2553
Ca: 0.6667 0.3333 0.7447
Sb: 0.3333 0.6667 0.6107
Sb: 0.3333 0.6667 0.8898
Sb: 0.6667 0.3333 0.1102
Sb: 0.6667 0.3333 0.3893
Pd: 0.0000 0.0000 0.0000
Pd: 0.0000 0.0000 0.1694
Pd: 0.0000 0.0000 0.3537
Pd: 0.0000 0.0000 0.6463
Pd: 0.0000 0.0000 0.8306
Pd: 0.3333 0.6667 0.0628
Pd: 0.3333 0.6667 0.4486
Pd: 0.6667 0.3333 0.5514
Pd: 0.6667 0.3333 0.9372

8.
Starting from a GGA-PBE-relaxed structure, the powder diffraction line list of CaSb3Pd3 was computed for Cu Kα (λ = 1.5418 Å).
Peak positions follow from Bragg's law for the DFT cell and can differ from measured ones.

Top 10 peaks for 2θ = 10–90°, in order of rising 2θ:
| two_theta | intensity |
| --- | --- |
| 21.6 | 80 |
| 31.6 | 49 |
| 35.0 | 13 |
| 37.9 | 100 |
| 38.6 | 59 |
| 50.1 | 66 |
| 55.2 | 18 |
| 68.9 | 15 |
| 77.4 | 12 |
| 78.7 | 20 |

Structural model:
abc: 7.3900 7.3900 7.3900
angles: 67.60 67.60 67.60
Atoms (fractional coordinates):
Ca: 0.1679 0.1679 0.1679
Ca: 0.8321 0.8321 0.8321
Sb: 0.1059 0.4096 0.7146
Sb: 0.2854 0.8941 0.5904
Sb: 0.4096 0.7146 0.1059
Sb: 0.5904 0.2854 0.8941
Sb: 0.7146 0.1059 0.4096
Sb: 0.8941 0.5904 0.2854
Pd: 0.0593 0.7726 0.4151
Pd: 0.2274 0.5849 0.9407
Pd: 0.4151 0.0593 0.7726
Pd: 0.5849 0.9407 0.2274
Pd: 0.7726 0.4151 0.0593
Pd: 0.9407 0.2274 0.5849

9.
Starting from a GGA-PBE-relaxed structure, the powder diffraction line list of Ca2SiSbPd6 was computed for Cu Kα (λ = 1.5418 Å).
Peak positions follow from Bragg's law for the DFT cell and can differ from measured ones.

Top 10 peaks for 2θ = 10–90°, in order of rising 2θ:
| two_theta | intensity |
| --- | --- |
| 18.9 | 48 |
| 20.5 | 62 |
| 28.8 | 49 |
| 34.7 | 66 |
| 35.8 | 100 |
| 38.3 | 40 |
| 39.4 | 62 |
| 40.9 | 46 |
| 44.2 | 62 |
| 45.4 | 45 |

Structural model:
abc: 5.5837 6.3800 6.6691
angles: 75.54 65.32 64.24
Atoms (fractional coordinates):
Ca: 0.0016 0.2453 0.2532
Ca: 0.9984 0.7547 0.7468
Si: 0.5000 0.5000 0.0000
Sb: 0.5000 0.0000 0.5000
Pd: 0.0200 0.6859 0.2838
Pd: 0.3309 0.9109 0.9264
Pd: 0.4890 0.3159 0.7157
Pd: 0.5110 0.6841 0.2843
Pd: 0.6691 0.0891 0.0736
Pd: 0.9800 0.3141 0.7162

10.
Starting from a GGA-PBE-relaxed structure, the powder diffraction line list of CaTc2PdSe was computed for Cu Kα (λ = 1.5418 Å).
Peak positions follow from Bragg's law for the DFT cell and can differ from measured ones.

Top 10 peaks for 2θ = 10–90°, in order of rising 2θ:
| two_theta | intensity |
| --- | --- |
| 16.2 | 73 |
| 24.4 | 67 |
| 30.6 | 82 |
| 32.7 | 69 |
| 36.7 | 100 |
| 40.4 | 29 |
| 44.6 | 27 |
| 50.0 | 85 |
| 52.9 | 34 |
| 63.6 | 46 |

Structural model:
abc: 4.8956 4.8956 5.4698
angles: 90.00 90.00 90.00
Atoms (fractional coordinates):
Ca: 0.0000 0.0000 0.0000
Tc: 0.0000 0.5000 0.5000
Tc: 0.5000 0.0000 0.5000
Pd: 0.0000 0.0000 0.5000
Se: 0.5000 0.5000 0.0000

11.
Starting from a GGA-PBE-relaxed structure, the powder diffraction line list of Ca2Si5Pd3 was computed for Cu Kα (λ = 1.5418 Å).
Peak positions follow from Bragg's law for the DFT cell and can differ from measured ones.

Top 10 peaks for 2θ = 10–90°, in order of rising 2θ:
| two_theta | intensity |
| --- | --- |
| 23.1 | 42 |
| 24.1 | 47 |
| 24.5 | 37 |
| 32.8 | 41 |
| 34.3 | 100 |
| 35.0 | 35 |
| 35.6 | 35 |
| 43.4 | 84 |
| 47.2 | 42 |
| 47.7 | 30 |

Structural model:
abc: 8.3330 8.3330 8.3330
angles: 105.48 88.74 139.03
Atoms (fractional coordinates):
Ca: 0.1290 0.2349 0.3638
Ca: 0.3710 0.7349 0.1059
Ca: 0.6290 0.2651 0.8941
Ca: 0.8710 0.7651 0.6362
Si: 0.0262 0.7500 0.2762
Si: 0.1132 0.6509 0.7641
Si: 0.2500 0.2500 0.0000
Si: 0.3868 0.1509 0.5377
Si: 0.4738 0.7500 0.7238
Si: 0.5262 0.2500 0.2762
Si: 0.6132 0.8491 0.4623
Si: 0.7500 0.7500 0.0000
Si: 0.8868 0.3491 0.2359
Si: 0.9738 0.2500 0.7238
Pd: 0.1380 0.8884 0.0264
Pd: 0.2500 0.7500 0.5000
Pd: 0.3620 0.3884 0.7504
Pd: 0.6380 0.6116 0.2496
Pd: 0.7500 0.2500 0.5000
Pd: 0.8620 0.1116 0.9736

12.
Starting from a GGA-PBE-relaxed structure, the powder diffraction line list of Ca3Si2Pd2 was computed for Cu Kα (λ = 1.5418 Å).
Peak positions follow from Bragg's law for the DFT cell and can differ from measured ones.

Top 10 peaks for 2θ = 10–90°, in order of rising 2θ:
| two_theta | intensity |
| --- | --- |
| 15.6 | 48 |
| 20.3 | 33 |
| 22.0 | 32 |
| 27.8 | 24 |
| 34.2 | 28 |
| 34.9 | 30 |
| 36.9 | 28 |
| 39.3 | 100 |
| 40.5 | 28 |
| 42.3 | 25 |

Structural model:
abc: 5.6680 8.0823 13.3491
angles: 90.00 90.00 90.00
Atoms (fractional coordinates):
Ca: 0.1321 0.1158 0.1058
Ca: 0.1321 0.1158 0.3942
Ca: 0.1321 0.3842 0.6058
Ca: 0.1321 0.3842 0.8942
Ca: 0.3512 0.7401 0.7500
Ca: 0.3512 0.7599 0.2500
Ca: 0.6488 0.2401 0.7500
Ca: 0.6488 0.2599 0.2500
Ca: 0.8679 0.6158 0.1058
Ca: 0.8679 0.6158 0.3942
Ca: 0.8679 0.8842 0.6058
Ca: 0.8679 0.8842 0.8942
Si: 0.1650 0.0904 0.7500
Si: 0.1650 0.4096 0.2500
Si: 0.3887 0.7500 0.0000
Si: 0.3887 0.7500 0.5000
Si: 0.6113 0.2500 0.0000
Si: 0.6113 0.2500 0.5000
Si: 0.8350 0.5904 0.7500
Si: 0.8350 0.9096 0.2500
Pd: 0.3738 0.0266 0.5887
Pd: 0.3738 0.0266 0.9113
Pd: 0.3738 0.4734 0.0887
Pd: 0.3738 0.4734 0.4113
Pd: 0.6262 0.5266 0.5887
Pd: 0.6262 0.5266 0.9113
Pd: 0.6262 0.9734 0.0887
Pd: 0.6262 0.9734 0.4113